Entry 1:
Structure and computed PXRD pattern of K3Tb3PdO8 (the PBE geometry in Alexandria; CuKα).

Cell and atoms:
a b c (Å): 6.8197 6.8197 18.8403
angles (deg): 90.00 90.00 120.00
Space group R-3m (No. 166, hexagonal axes)
Asymmetric unit:
K (0.0000, 0.5000, 0.0000) (multiplicity 9)
Tb (0.0000, 0.5000, 0.5000) (multiplicity 9)
Pd (0.0000, 0.0000, 0.5000) (multiplicity 3)
O (0.0000, 0.0000, 0.2277) (multiplicity 6)
O (0.0255, 0.5128, 0.2254) (multiplicity 18)

Peak list (12 most intense, 15° ≤ 2θ ≤ 90°, by intensity)
Position (°2θ)	Rel. int.	h k l
35.89	100	0 2 4
31.76	70	2 0 2
30.64	44	0 2 1
28.42	36	0 0 6
49.51	33	2 0 8
53.77	31	2 2 0
45.60	25	0 2 7
61.93	25	2 2 6
55.88	23	2 2 3
58.07	18	0 2 10
38.74	17	2 0 5
66.35	15	4 0 4

---

Entry 2:
Structure and computed PXRD pattern of K3TePd3O8 (the PBE geometry in Alexandria; CuKα).

Cell and atoms:
a b c (Å): 11.164 6.961 7.427
angles (deg): 90.00 123.62 90.00
Space group C2/m (No. 12)
Asymmetric unit:
K (0.000, 0.000, 0.000) (multiplicity 2)
K (0.250, 0.250, 0.000) (multiplicity 4)
Te (0.000, 0.000, 0.500) (multiplicity 2)
Pd (0.000, 0.500, 0.500) (multiplicity 2)
Pd (0.250, 0.250, 0.500) (multiplicity 4)
O (0.028, 0.205, 0.337) (multiplicity 8)
O (0.202, 0.000, 0.717) (multiplicity 4)
O (0.214, 0.500, 0.624) (multiplicity 4)

Peak list (12 most intense, 15° ≤ 2θ ≤ 90°, by intensity)
Position (°2θ)	Rel. int.	h k l
35.50	100	2 2 -2
32.13	64	2 2 0
28.87	52	0 0 2
38.74	38	4 0 0
30.51	35	2 2 -1
32.99	30	4 0 -2
50.88	27	2 2 2
56.14	25	6 2 -2
45.21	20	2 2 -3
57.81	18	2 2 -4
52.59	15	0 4 0
49.53	15	4 0 -4